# 1
Diffraction record for LaSb2S4. The XRD peak list is calculated, not measured: it uses a crystal structure in Alexandria, relaxed with PBE and copper Kα.
Intensities are scaled so that the largest is 100.

Largest 6 diffraction maxima, most intense first, 10° ≤ 2θ ≤ 90°:
2θ/deg	I_rel
32.8	100
23.3	82
25.3	77
35.2	69
39.8	67
19.6	55

Atomic structure:
```
14
Lattice="0.000 6.050 6.834 4.292 0.000 6.834 4.292 6.050 0.000" Properties=species:S:1:pos:R:3 pbc="T T T"
La 1.073 1.513 1.709
La 7.511 10.588 11.960
Sb 4.292 3.025 3.417
Sb 2.146 6.050 3.417
Sb 2.146 3.025 6.834
Sb 4.292 6.050 6.834
S 4.806 3.364 6.328
S 4.806 5.712 3.923
S 6.952 6.389 7.340
S 1.632 3.364 3.923
S 6.952 8.737 9.746
S 1.632 5.712 6.328
S 3.777 6.389 9.746
S 3.777 8.737 7.340
```

***

# 2
Diffraction record for K3FeCl5. The XRD peak list is calculated, not measured: it uses a crystal structure in Alexandria, relaxed with PBE and copper Kα.
Intensities are scaled so that the largest is 100.

Largest 6 diffraction maxima, most intense first, 10° ≤ 2θ ≤ 90°:
2θ/deg	I_rel
29.9	100
32.8	27
29.3	26
24.1	26
32.7	23
38.9	18

Atomic structure:
```
18
Lattice="-4.312 4.312 7.098 4.312 -4.312 7.098 4.312 4.312 -7.098" Properties=species:S:1:pos:R:3 pbc="T T T"
K 5.732 1.420 0.000
K 0.000 0.000 3.549
K 1.420 2.892 0.000
K 2.892 1.420 7.098
K 0.000 0.000 10.648
K -1.420 2.892 7.098
Fe 4.312 0.000 3.549
Fe 0.000 4.312 3.549
Cl 0.000 0.000 0.000
Cl 5.577 -1.265 2.128
Cl 3.047 -1.265 4.971
Cl 3.047 1.265 2.128
Cl 5.577 1.265 4.971
Cl 0.000 0.000 7.098
Cl -1.265 3.047 2.128
Cl 1.265 3.047 4.971
Cl 1.265 5.577 2.128
Cl -1.265 5.577 4.971
```

***

# 3
Diffraction record for Li5HgSb3. The XRD peak list is calculated, not measured: it uses a crystal structure in Alexandria, relaxed with PBE and copper Kα.
Intensities are scaled so that the largest is 100.

Largest 6 diffraction maxima, most intense first, 10° ≤ 2θ ≤ 90°:
2θ/deg	I_rel
23.4	100
24.1	87
38.0	62
38.5	57
36.0	55
29.5	51

Atomic structure:
```
18
Lattice="6.050 0.000 0.000 0.000 8.851 0.000 0.000 0.000 7.384" Properties=species:S:1:pos:R:3 pbc="T T T"
Li 0.000 0.000 0.000
Li 1.476 2.212 2.258
Li 1.476 2.212 5.126
Li 1.549 6.638 2.258
Li 1.549 6.638 5.126
Li 3.025 4.425 0.000
Li 4.501 2.213 2.258
Li 4.501 2.213 5.126
Li 4.574 6.639 2.258
Li 4.574 6.639 5.126
Hg 0.000 4.425 3.692
Hg 3.025 0.000 3.692
Sb 0.000 0.000 3.692
Sb 0.051 5.823 0.000
Sb 2.974 1.398 0.000
Sb 3.025 4.425 3.692
Sb 3.076 7.453 0.000
Sb 5.999 3.028 0.000
```

***

# 4
Diffraction record for AcLa8Er2. The XRD peak list is calculated, not measured: it uses a crystal structure in Alexandria, relaxed with PBE and copper Kα.
Intensities are scaled so that the largest is 100.

Largest 6 diffraction maxima, most intense first, 10° ≤ 2θ ≤ 90°:
2θ/deg	I_rel
29.4	100
49.1	24
33.9	17
34.0	17
34.3	16
57.9	15

Atomic structure:
```
11
Lattice="9.446 -2.643 0.000 9.446 2.643 0.000 -2.236 0.000 8.018" Properties=species:S:1:pos:R:3 pbc="T T T"
Ac 0.000 0.000 0.000
La 0.747 0.000 3.691
La 1.434 0.000 7.320
La 4.986 0.000 6.466
La 7.925 0.000 2.215
La 8.732 0.000 5.802
La 11.671 0.000 1.552
La 15.223 0.000 0.698
La 15.910 0.000 4.327
Er 4.324 0.000 2.930
Er 12.333 0.000 5.087
```